Simulated powder X-ray diffraction pattern of Ba2LaSbO6 for CuKα, from a structure optimized by DFT (PBE).
Lines closer than 0.1° are merged.

Main lines, by angle (10 to 90 degrees two-theta):
28.9 deg, I = 100
41.3 deg, I = 30
51.2 deg, I = 41
59.9 deg, I = 19
67.9 deg, I = 18
75.4 deg, I = 6
82.7 deg, I = 22
89.8 deg, I = 3

Cell: 6.177 6.177 6.177 Å, 60.00 60.00 60.00°
Positions (direct):
Ba (0.250, 0.250, 0.250)
Ba (0.750, 0.750, 0.750)
La (0.000, 0.000, 0.000)
Sb (0.500, 0.500, 0.500)
O (0.269, 0.269, 0.731)
O (0.269, 0.731, 0.269)
O (0.269, 0.731, 0.731)
O (0.731, 0.269, 0.269)
O (0.731, 0.269, 0.731)
O (0.731, 0.731, 0.269)